The following is a theoretical X-ray diffraction stick pattern of Er2MgCr2O8. It was derived from the GGA+U geometry in the Materials Project, using Cu Kα X-rays.
Kinematic intensities with the Lorentz-polarization factor, no thermal factor.

Largest 12 diffraction maxima, sorted by position, 5° ≤ 2θ ≤ 70°:
- 2θ 17.60, intensity 43.9
- 2θ 18.66, intensity 31.8
- 2θ 23.91, intensity 100.0
- 2θ 25.05, intensity 97.2
- 2θ 30.78, intensity 30.3
- 2θ 32.19, intensity 83.2
- 2θ 33.76, intensity 81.4
- 2θ 34.90, intensity 53.1
- 2θ 37.89, intensity 41.6
- 2θ 48.84, intensity 29.5
- 2θ 49.85, intensity 30.9
- 2θ 49.96, intensity 35.1

```
data_Er2MgCr2O8
_cell_length_a 5.922
_cell_length_b 5.922
_cell_length_c 6.414
_cell_angle_alpha 119.65
_cell_angle_beta 119.65
_cell_angle_gamma 73.79
_symmetry_space_group_name_H-M 'P 1'
_symmetry_Int_Tables_number 1
loop_
_symmetry_equiv_pos_as_xyz
'x,y,z'
loop_
_atom_site_label
_atom_site_type_symbol
_atom_site_fract_x
_atom_site_fract_y
_atom_site_fract_z
_atom_site_occupancy
Er1 Er 0.220 0.220 0.075 1
Er2 Er 0.780 0.780 0.925 1
Mg1 Mg 0.223 0.777 0.500 1
Cr1 Cr 0.237 0.304 0.634 1
Cr2 Cr 0.696 0.763 0.366 1
O1 O 0.036 0.433 0.803 1
O2 O 0.098 0.057 0.288 1
O3 O 0.418 0.518 0.665 1
O4 O 0.428 0.080 0.798 1
O5 O 0.482 0.582 0.335 1
O6 O 0.567 0.964 0.197 1
O7 O 0.920 0.572 0.202 1
O8 O 0.943 0.902 0.712 1
```